Simulated X-ray powder pattern
Compound: SrPr3
Radiation: λ = 1.5418 Å (Cu Kα)
Structure: a PBE-relaxed structure
Kinematic intensities with the Lorentz-polarization factor, no thermal factor.

Main lines, by angle (2θ = 10–90°):
26.92 deg, I = 285
29.19 deg, I = 399
30.17 deg, I = 586
30.70 deg, I = 1000
40.12 deg, I = 196
46.83 deg, I = 204
52.37 deg, I = 124
52.71 deg, I = 218
56.14 deg, I = 238
57.67 deg, I = 186

Crystal structure
```
SrPr3
1.0
3.797 0.000 0.000
0.000 6.119 0.000
0.000 0.000 6.770
Sr Pr
1 3
Direct
0.000 0.000 0.000
0.000 0.500 0.665
0.500 0.000 0.501
0.500 0.500 0.195
```